(1)
Diffraction record for Li3Ti2Mn3O10. The powder X-ray diffraction pattern is calculated, not measured: it uses a DFT-relaxed cell (GGA+U, the Materials Project) and Cu Kα, 1.54184 Å.

Principal peaks in the range 10 to 90 degrees two-theta, in order of falling intensity:
2θ (°)  d_spacing  intensity
18.2  4.884  1000
12.1  7.342  740
39.8  2.267  692
42.8  2.111  552
45.0  2.016  526
17.5  5.054  382
26.8  3.326  294
23.0  3.871  288

Atomic structure:
a b c (Å): 5.084 5.244 7.775
angles (deg): 75.84 75.11 80.54
Positions (direct):
Li 0.000 0.000 0.000
Li 0.491 0.732 0.100
Li 0.509 0.268 0.900
Ti 0.030 0.380 0.183
Ti 0.970 0.620 0.817
Mn 0.010 0.188 0.605
Mn 0.500 0.500 0.500
Mn 0.990 0.812 0.395
O 0.195 0.840 0.572
O 0.211 0.620 0.975
O 0.225 0.068 0.147
O 0.237 0.495 0.347
O 0.256 0.311 0.714
O 0.744 0.689 0.286
O 0.763 0.505 0.653
O 0.775 0.932 0.853
O 0.789 0.380 0.025
O 0.805 0.160 0.428

=====

(2)
Diffraction record for Li3TiMn3O8. The powder X-ray diffraction pattern is calculated, not measured: it uses a DFT-relaxed cell (GGA+U, the Materials Project) and Cu Kα, 1.54184 Å.

Principal peaks in the range 10 to 90 degrees two-theta, in order of falling intensity:
2θ (°)  d_spacing  intensity
18.0  4.937  1000
40.9  2.206  261
42.4  2.132  234
44.0  2.059  211
33.9  2.646  152
35.1  2.560  128
36.0  2.494  104
46.7  1.947  72

Atomic structure:
a b c (Å): 6.026 6.047 8.531
angles (deg): 90.95 90.51 93.94
Positions (direct):
Li 0.000 0.000 0.000
Li 0.249 0.250 0.250
Li 0.250 0.750 0.249
Li 0.500 0.500 0.500
Li 0.750 0.250 0.751
Li 0.751 0.750 0.750
Ti 0.000 0.500 0.500
Ti 0.500 0.000 0.000
Mn 0.000 0.000 0.500
Mn 0.250 0.249 0.749
Mn 0.250 0.750 0.751
Mn 0.500 0.500 0.000
Mn 0.750 0.250 0.249
Mn 0.750 0.751 0.251
O 0.008 0.020 0.734
O 0.029 0.490 0.734
O 0.209 0.261 0.489
O 0.245 0.726 0.519
O 0.254 0.774 0.981
O 0.291 0.238 0.012
O 0.471 0.010 0.766
O 0.491 0.478 0.767
O 0.509 0.522 0.233
O 0.529 0.990 0.234
O 0.709 0.762 0.988
O 0.746 0.226 0.019
O 0.755 0.274 0.481
O 0.791 0.739 0.511
O 0.971 0.510 0.266
O 0.992 0.980 0.266

=====

(3)
Diffraction record for Li2TiMn2O6. The powder X-ray diffraction pattern is calculated, not measured: it uses a DFT-relaxed cell (GGA+U, the Materials Project) and Cu Kα, 1.54184 Å.

Principal peaks in the range 10 to 90 degrees two-theta, in order of falling intensity:
2θ (°)  d_spacing  intensity
17.3  5.135  1000
44.2  2.049  345
36.2  2.482  226
37.4  2.404  204
57.5  1.602  193
60.9  1.520  161
32.9  2.720  121
48.8  1.867  102

Atomic structure:
a b c (Å): 5.128 5.128 10.271
angles (deg): 90.00 90.00 64.07
Positions (direct):
Li 0.101 0.399 0.250
Li 0.399 0.101 0.750
Li 0.601 0.899 0.250
Li 0.899 0.601 0.750
Ti 0.000 0.000 0.000
Ti 0.500 0.500 0.500
Mn 0.164 0.164 0.500
Mn 0.336 0.336 0.000
Mn 0.664 0.664 0.000
Mn 0.836 0.836 0.500
O 0.049 0.293 0.889
O 0.172 0.828 0.410
O 0.207 0.451 0.611
O 0.293 0.049 0.111
O 0.328 0.672 0.910
O 0.451 0.207 0.389
O 0.549 0.793 0.611
O 0.672 0.328 0.090
O 0.707 0.951 0.889
O 0.793 0.549 0.389
O 0.828 0.172 0.590
O 0.951 0.707 0.111

=====

(4)
Diffraction record for Li5Ti2Mn3O10. The powder X-ray diffraction pattern is calculated, not measured: it uses a DFT-relaxed cell (GGA+U, the Materials Project) and Cu Kα, 1.54184 Å.

Principal peaks in the range 10 to 90 degrees two-theta, in order of falling intensity:
2θ (°)  d_spacing  intensity
18.1  4.904  1000
12.3  7.214  1000
41.5  2.178  992
42.2  2.140  900
43.1  2.097  862
61.4  1.511  498
18.0  4.941  472
34.5  2.598  298

Atomic structure:
a b c (Å): 5.241 5.277 14.476
angles (deg): 87.82 85.56 78.53
Positions (direct):
Li 0.000 0.000 0.000
Li 0.004 0.191 0.780
Li 0.018 0.399 0.589
Li 0.248 0.839 0.639
Li 0.481 0.291 0.692
Li 0.499 0.500 0.500
Li 0.503 0.691 0.280
Li 0.518 0.899 0.090
Li 0.748 0.339 0.139
Li 0.981 0.791 0.192
Ti 0.242 0.470 0.047
Ti 0.257 0.222 0.234
Ti 0.745 0.971 0.548
Ti 0.755 0.722 0.734
Mn 0.000 0.597 0.391
Mn 0.240 0.657 0.839
Mn 0.262 0.036 0.442
Mn 0.504 0.095 0.892
Mn 0.743 0.157 0.339
Mn 0.758 0.535 0.942
O 0.099 0.535 0.717
O 0.104 0.717 0.507
O 0.134 0.154 0.120
O 0.138 0.945 0.307
O 0.157 0.313 0.924
O 0.346 0.379 0.358
O 0.363 0.747 0.975
O 0.366 0.537 0.162
O 0.400 0.974 0.776
O 0.402 0.157 0.565
O 0.600 0.034 0.216
O 0.606 0.215 0.008
O 0.634 0.654 0.620
O 0.636 0.446 0.806
O 0.653 0.811 0.424
O 0.850 0.881 0.858
O 0.866 0.037 0.662
O 0.866 0.246 0.476
O 0.898 0.477 0.275
O 0.901 0.657 0.065

=====

(5)
Diffraction record for Li4Ti2Mn3V3O16. The powder X-ray diffraction pattern is calculated, not measured: it uses a DFT-relaxed cell (GGA+U, the Materials Project) and Cu Kα, 1.54184 Å.

Principal peaks in the range 10 to 90 degrees two-theta, in order of falling intensity:
2θ (°)  d_spacing  intensity
18.5  4.806  1000
36.0  2.496  673
45.9  1.978  469
19.8  4.476  449
19.4  4.573  449
61.7  1.504  428
44.7  2.027  354
18.8  4.715  310

Atomic structure:
a b c (Å): 6.024 6.024 9.625
angles (deg): 92.65 92.65 58.37
Positions (direct):
Li 0.000 0.000 0.000
Li 0.000 0.000 0.499
Li 0.333 0.333 0.908
Li 0.652 0.652 0.406
Ti 0.334 0.334 0.505
Ti 0.657 0.657 0.006
Mn 0.158 0.654 0.220
Mn 0.654 0.158 0.220
Mn 0.831 0.831 0.714
V 0.169 0.169 0.234
V 0.346 0.842 0.728
V 0.842 0.346 0.728
O 0.009 0.009 0.813
O 0.028 0.462 0.357
O 0.168 0.168 0.611
O 0.181 0.664 0.596
O 0.323 0.323 0.117
O 0.342 0.841 0.101
O 0.462 0.028 0.357
O 0.468 0.468 0.344
O 0.498 0.963 0.852
O 0.520 0.520 0.848
O 0.647 0.647 0.610
O 0.664 0.181 0.596
O 0.834 0.834 0.098
O 0.841 0.342 0.101
O 0.963 0.498 0.852
O 0.997 0.997 0.310

=====

- Which formula does entry 1 have?
  Li3Ti2Mn3O10